Entry 1:
Al2Re3B: calculated powder diffraction line list (Cu Kα X-rays), based on a cell relaxed with PBE.
Neutral-atom scattering factors, no anomalous dispersion.

Main lines, by angle (2θ = 5–70°):
hkl 1 1 1, 14.26 deg, intensity 607; hkl 2 2 0, 23.39 deg, intensity 136; hkl 4 0 0, 33.32 deg, intensity 572; hkl 3 3 1, 36.41 deg, intensity 426; hkl 4 2 2, 41.11 deg, intensity 722; hkl 3 3 3, 43.73 deg, intensity 1000; hkl 4 4 0, 47.83 deg, intensity 210; hkl 6 2 0, 53.91 deg, intensity 82; hkl 5 5 1, 61.57 deg, intensity 250; hkl 7 3 1, 66.80 deg, intensity 161

Atomic structure:
abc: 10.7568 10.7568 10.7568
angles: 90.00 90.00 90.00
Space group Fd-3m (No. 227, origin choice 2)
Unique sites:
Al 0.0391 0.0391 0.2109 x32
Re 0.0668 0.3750 0.8750 x48
B 0.0000 0.0000 0.0000 x16

Entry 2:
Al2B2Ru3: calculated powder diffraction line list (Cu Kα X-rays), based on a cell relaxed with PBE.
Neutral-atom scattering factors, no anomalous dispersion.

Main lines, by angle (2θ = 5–70°):
hkl 1 1 0, 29.82 deg, intensity 464; hkl 0 6 0, 30.08 deg, intensity 598; hkl 0 0 1, 30.38 deg, intensity 587; hkl 1 5 0, 38.94 deg, intensity 819; hkl 1 1 1, 43.09 deg, intensity 951; hkl 0 6 1, 43.27 deg, intensity 1000; hkl 1 7 0, 46.53 deg, intensity 249; hkl 1 5 1, 50.17 deg, intensity 469; hkl 2 0 0, 60.98 deg, intensity 194; hkl 0 0 2, 63.20 deg, intensity 173

Atomic structure:
abc: 3.0390 17.8263 2.9426
angles: 90.00 90.00 90.00
Space group Cmmm (No. 65)
Unique sites:
Al 0.0000 0.0790 0.0000 x4
B 0.0000 0.2224 0.0000 x4
Ru 0.0000 0.3250 0.5000 x4
Ru 0.0000 0.5000 0.5000 x2

Entry 3:
Al3B2Ru4: calculated powder diffraction line list (Cu Kα X-rays), based on a cell relaxed with PBE.
Neutral-atom scattering factors, no anomalous dispersion.

Main lines, by angle (2θ = 5–70°):
hkl 2 0 0, 20.75 deg, intensity 216; hkl 0 0 1, 30.45 deg, intensity 476; hkl 3 0 0, 31.34 deg, intensity 561; hkl 2 0 1, 37.13 deg, intensity 274; hkl 3 2 0, 37.88 deg, intensity 508; hkl 4 1 0, 43.58 deg, intensity 183; hkl 3 0 1, 44.26 deg, intensity 1000; hkl 3 3 0, 44.91 deg, intensity 321; hkl 3 2 1, 49.36 deg, intensity 411; hkl 0 0 2, 63.36 deg, intensity 177

Atomic structure:
abc: 8.5629 8.5629 2.9356
angles: 90.00 90.00 90.00
Space group P4/mmm (No. 123)
Unique sites:
Al 0.0000 0.0000 0.0000 x1
Al 0.0000 0.3472 0.0000 x4
Al 0.5000 0.5000 0.0000 x1
B 0.3067 0.3067 0.0000 x4
Ru 0.1761 0.1761 0.5000 x4
Ru 0.2437 0.5000 0.5000 x4

Entry 4:
TbAlB14: calculated powder diffraction line list (Cu Kα X-rays), based on a cell relaxed with PBE.
Neutral-atom scattering factors, no anomalous dispersion.

Main lines, by angle (2θ = 5–70°):
hkl 0 1 1, 13.64 deg, intensity 883; hkl 0 2 0, 16.91 deg, intensity 702; hkl 1 0 1, 18.45 deg, intensity 239; hkl 1 2 1, 25.13 deg, intensity 533; hkl 1 1 2, 27.68 deg, intensity 1000; hkl 2 1 1, 33.30 deg, intensity 548; hkl 2 2 0, 34.84 deg, intensity 325; hkl 1 3 2, 36.95 deg, intensity 500; hkl 1 2 3, 39.98 deg, intensity 524; hkl 2 3 1, 41.47 deg, intensity 454

Atomic structure:
abc: 5.9139 10.4838 8.2679
angles: 90.00 90.00 90.00
Space group Imma (No. 74)
Unique sites:
Tb 0.0000 0.2500 0.1511 x4
Al 0.2500 0.2500 0.7500 x4
B 0.0000 0.0901 0.6665 x8
B 0.0000 0.1434 0.8733 x8
B 0.0000 0.1674 0.4664 x8
B 0.1623 0.0603 0.3380 x16
B 0.2479 0.0797 0.5483 x16

Entry 5:
Ba4Al: calculated powder diffraction line list (Cu Kα X-rays), based on a cell relaxed with PBE.
Neutral-atom scattering factors, no anomalous dispersion.

Main lines, by angle (2θ = 5–70°):
hkl 2 2 2, 22.77 deg, intensity 1000; hkl 4 0 0, 26.35 deg, intensity 458; hkl 3 3 1, 28.76 deg, intensity 77; hkl 5 1 1, 34.44 deg, intensity 111; hkl 4 4 0, 37.61 deg, intensity 409; hkl 6 2 2, 44.41 deg, intensity 426; hkl 4 4 4, 46.50 deg, intensity 108; hkl 6 6 2, 59.57 deg, intensity 151; hkl 8 4 0, 61.28 deg, intensity 118; hkl 8 4 4, 67.87 deg, intensity 104

Atomic structure:
abc: 13.5301 13.5301 13.5301
angles: 90.00 90.00 90.00
Space group Fd-3m (No. 227, origin choice 2)
Unique sites:
Ba 0.0113 0.0113 0.2387 x32
Al 0.1250 0.1250 0.6250 x8

Entry 6:
Ba4Al5: calculated powder diffraction line list (Cu Kα X-rays), based on a cell relaxed with PBE.
Neutral-atom scattering factors, no anomalous dispersion.

Main lines, by angle (2θ = 5–70°):
hkl 1 0 2, 19.45 deg, intensity 219; hkl 1 0 3, 22.41 deg, intensity 448; hkl 1 0 4, 26.01 deg, intensity 385; hkl 1 1 0, 29.18 deg, intensity 1000; hkl 1 0 5, 30.06 deg, intensity 328; hkl 1 0 6, 34.42 deg, intensity 381; hkl 2 0 2, 35.31 deg, intensity 190; hkl 1 1 4, 35.50 deg, intensity 509; hkl 3 0 0, 51.74 deg, intensity 197; hkl 2 1 6, 55.17 deg, intensity 193

Atomic structure:
abc: 6.1204 6.1204 17.9543
angles: 90.00 90.00 120.00
Space group P6_3/mmc (No. 194)
Unique sites:
Ba 0.0000 0.0000 0.1437 x4
Ba 0.3333 0.6667 0.0703 x4
Al 0.0193 0.5096 0.2500 x6
Al 0.3333 0.6667 0.6375 x4